Starting from a PBE-relaxed structure, the X-ray diffraction stick pattern of Pm2Dy2Ir3 was computed for λ = 1.5418 Å (Cu Kα).
Lines closer than 0.1° are merged.

Atomic structure:
Cell lengths 4.8406, 4.8406, 24.3555 Å; angles 90.00, 90.00, 120.00 degrees
Space group R-3m (No. 166, hexagonal axes)
Inequivalent atoms, fractional coordinates:
Pm: 0.0000 0.0000 0.1244 (multiplicity 6)
Dy: 0.0000 0.0000 0.3743 (multiplicity 6)
Ir: 0.0000 0.0000 0.0000 (multiplicity 3)
Ir: 0.0000 0.0000 0.2522 (multiplicity 6)

Most intense lines, 10 to 80 degrees two-theta, in order of rising 2θ:
hkl 0 0 3, d = 8.119 Å, 10.90°, I 213
hkl 0 1 2, d = 3.964 Å, 22.43°, I 88
hkl 0 1 8, d = 2.463 Å, 36.47°, I 1000
hkl 1 1 0, d = 2.420 Å, 37.15°, I 956
hkl 2 0 8, d = 1.726 Å, 53.04°, I 345
hkl 1 0 16, d = 1.431 Å, 65.20°, I 183
hkl 1 2 8, d = 1.406 Å, 66.53°, I 350
hkl 3 0 0, d = 1.397 Å, 66.97°, I 174
hkl 0 2 16, d = 1.232 Å, 77.50°, I 112
hkl 2 2 0, d = 1.210 Å, 79.14°, I 111